Diffraction record for Ac2HgBi4. The powder X-ray diffraction pattern is computed, not measured: it uses a crystal structure in Alexandria, relaxed with GGA-PBE and Cu Kα (weighted mean of Kα1 and Kα2).
Kinematic intensities with the Lorentz-polarization factor, no thermal factor.

Most intense lines, 10 to 90 degrees two-theta, by intensity:
- hkl 1 1 2, 31.30 deg, intensity 100.0
- hkl 2 0 0, 37.54 deg, intensity 36.1
- hkl 3 1 2, 63.87 deg, intensity 25.9
- hkl 0 0 3, 25.05 deg, intensity 22.9
- hkl 2 0 3, 45.67 deg, intensity 14.0
- hkl 1 1 1, 27.63 deg, intensity 12.9
- hkl 2 2 0, 54.13 deg, intensity 12.9
- hkl 2 0 4, 51.32 deg, intensity 11.7
- hkl 1 0 5, 46.70 deg, intensity 10.5
- hkl 2 1 5, 61.39 deg, intensity 9.5
- hkl 0 0 4, 33.69 deg, intensity 9.3
- hkl 1 0 1, 20.32 deg, intensity 7.0

Structural model:
Unit cell a=4.792 b=4.792 c=10.642 alpha=90.00 beta=90.00 gamma=90.00
Fractional coordinates of all 7 atoms:
Ac (0.000, 0.500, 0.244)
Ac (0.500, 0.000, 0.756)
Hg (0.500, 0.500, 0.000)
Bi (0.000, 0.000, 0.500)
Bi (0.000, 0.500, 0.826)
Bi (0.500, 0.000, 0.174)
Bi (0.500, 0.500, 0.500)